Entry 1:
Diffraction record for La4Nd3Sm2. The X-ray diffraction stick pattern is computed, not measured: it uses DFT lattice parameters and positions (GGA-PBE) and a wavelength of 1.5418 Å.
Kinematic intensities with the Lorentz-polarization factor, no thermal factor.

Atomic structure:
```
La4Nd3Sm2
1.0
7.8351 -2.6245 0.0000
7.8351 2.6245 0.0000
-2.6072 0.0000 7.8188
La Nd Sm
4 3 2
Direct
0.0550 0.0550 0.3315
0.2771 0.2771 0.6681
0.7229 0.7229 0.3319
0.9450 0.9450 0.6685
0.3880 0.3880 0.3307
0.5000 0.5000 0.0000
0.6120 0.6120 0.6693
0.1671 0.1671 0.9998
0.8329 0.8329 0.0002
```

Principal peaks in the range 10° ≤ 2θ ≤ 80°, sorted by position:
2θ/deg, I (rel.)
29.59, 100
34.16, 17
34.37, 34
49.25, 24
49.40, 12
58.37, 15
58.63, 22
58.71, 7
61.43, 13
79.90, 9



Entry 2:
Diffraction record for La2Nd9Sm3. The X-ray diffraction stick pattern is computed, not measured: it uses DFT lattice parameters and positions (GGA-PBE) and a wavelength of 1.5418 Å.
Kinematic intensities with the Lorentz-polarization factor, no thermal factor.

Atomic structure:
```
La2Nd9Sm3
1.0
9.2890 0.0000 0.0000
-4.6445 8.0445 0.0000
0.0000 0.0000 13.7177
La Nd Sm
4 18 6
Direct
0.3333 0.6667 0.1360
0.3333 0.6667 0.3640
0.6667 0.3333 0.6360
0.6667 0.3333 0.8640
0.0827 0.4808 0.7500
0.1249 0.7231 0.5391
0.1249 0.7231 0.9609
0.2769 0.4018 0.5391
0.2769 0.4018 0.9609
0.3981 0.9173 0.7500
0.4018 0.1249 0.0391
0.4018 0.1249 0.4609
0.4808 0.3981 0.2500
0.5192 0.6019 0.7500
0.5982 0.8751 0.5391
0.5982 0.8751 0.9609
0.6019 0.0827 0.2500
0.7231 0.5982 0.0391
0.7231 0.5982 0.4609
0.8751 0.2769 0.0391
0.8751 0.2769 0.4609
0.9173 0.5192 0.2500
0.0804 0.2484 0.2500
0.1680 0.9196 0.2500
0.2484 0.1680 0.7500
0.7516 0.8320 0.2500
0.8320 0.0804 0.7500
0.9196 0.7516 0.7500
```

Principal peaks in the range 10° ≤ 2θ ≤ 80°, sorted by position:
2θ/deg, I (rel.)
25.98, 25
29.58, 41
30.10, 77
32.20, 100
32.45, 22
34.54, 22
35.45, 24
52.10, 30
52.89, 20
59.12, 18



Entry 3:
Diffraction record for La4NdSm6. The X-ray diffraction stick pattern is computed, not measured: it uses DFT lattice parameters and positions (GGA-PBE) and a wavelength of 1.5418 Å.
Kinematic intensities with the Lorentz-polarization factor, no thermal factor.

Atomic structure:
```
La4NdSm6
1.0
-3.8612 3.8612 6.7957
3.8612 -3.8612 6.7957
3.8612 3.8612 -6.7957
La Nd Sm
4 1 6
Direct
0.2445 0.2445 0.6451
0.4006 0.7555 0.0000
0.5994 0.5994 0.3549
0.7555 0.4006 0.0000
0.0000 0.0000 0.0000
0.0000 0.5000 0.5000
0.0431 0.5852 0.0000
0.4148 0.4148 0.4579
0.5000 0.0000 0.5000
0.5852 0.0431 0.0000
0.9569 0.9569 0.5421
```

Principal peaks in the range 10° ≤ 2θ ≤ 80°, sorted by position:
2θ/deg, I (rel.)
23.03, 21
26.59, 100
31.00, 91
32.60, 25
32.80, 55
35.18, 22
35.48, 23
45.75, 25
54.86, 28
59.44, 22



Entry 4:
Diffraction record for La6Nd3Sm2. The X-ray diffraction stick pattern is computed, not measured: it uses DFT lattice parameters and positions (GGA-PBE) and a wavelength of 1.5418 Å.
Kinematic intensities with the Lorentz-polarization factor, no thermal factor.

Atomic structure:
```
La6Nd3Sm2
1.0
6.4420 0.0000 0.0000
-2.1219 7.9723 0.0000
-1.0066 -2.8124 7.6994
La Nd Sm
6 3 2
Direct
0.0466 0.1803 0.4085
0.1356 0.5457 0.2274
0.3195 0.2715 0.8659
0.6805 0.7285 0.1341
0.8644 0.4543 0.7726
0.9534 0.8197 0.5915
0.4086 0.6378 0.6834
0.5000 0.0000 0.5000
0.5914 0.3622 0.3166
0.2273 0.9103 0.0461
0.7727 0.0897 0.9539
```

Principal peaks in the range 10° ≤ 2θ ≤ 80°, sorted by position:
2θ/deg, I (rel.)
29.53, 100
33.96, 17
34.37, 33
49.08, 12
49.10, 12
58.06, 15
58.59, 22
58.67, 7
61.25, 6
79.63, 10



Entry 5:
Diffraction record for La4NdSm3. The X-ray diffraction stick pattern is computed, not measured: it uses DFT lattice parameters and positions (GGA-PBE) and a wavelength of 1.5418 Å.
Kinematic intensities with the Lorentz-polarization factor, no thermal factor.

Atomic structure:
```
La4NdSm3
1.0
25.6242 0.0000 0.0000
0.0000 3.5315 0.0000
-0.3989 0.0000 6.3299
La Nd Sm
8 2 6
Direct
0.1061 0.0000 0.2400
0.2205 0.5000 0.2432
0.2795 0.0000 0.7568
0.3939 0.5000 0.7600
0.6061 0.5000 0.2400
0.7205 0.0000 0.2432
0.7795 0.5000 0.7568
0.8939 0.0000 0.7600
0.0000 0.5000 0.0000
0.5000 0.0000 0.0000
0.0000 0.0000 0.5000
0.1429 0.0000 0.7485
0.3571 0.5000 0.2515
0.5000 0.5000 0.5000
0.6429 0.5000 0.7485
0.8571 0.0000 0.2515
```

Principal peaks in the range 10° ≤ 2θ ≤ 80°, sorted by position:
2θ/deg, I (rel.)
25.46, 43
27.91, 59
28.63, 45
29.06, 92
30.53, 56
30.75, 100
31.14, 83
32.15, 50
35.35, 44
61.31, 41



Entry 6:
Diffraction record for LaNdSm14. The X-ray diffraction stick pattern is computed, not measured: it uses DFT lattice parameters and positions (GGA-PBE) and a wavelength of 1.5418 Å.
Kinematic intensities with the Lorentz-polarization factor, no thermal factor.

Atomic structure:
```
LaNdSm14
1.0
11.7882 0.0000 0.0000
0.0000 3.6604 6.3278
0.0000 -3.6604 6.3278
La Nd Sm
1 1 14
Direct
0.0000 0.0000 0.0000
0.0000 0.4998 0.4998
0.0000 0.0009 0.5000
0.0000 0.5000 0.0009
0.2499 0.6672 0.6672
0.2518 0.1675 0.1675
0.2525 0.1671 0.6669
0.2525 0.6669 0.1671
0.5000 0.3341 0.3341
0.5000 0.3351 0.8338
0.5000 0.8334 0.8334
0.5000 0.8338 0.3351
0.7475 0.1671 0.6669
0.7475 0.6669 0.1671
0.7482 0.1675 0.1675
0.7501 0.6672 0.6672
```

Principal peaks in the range 10° ≤ 2θ ≤ 80°, sorted by position:
2θ/deg, I (rel.)
28.18, 8
29.20, 42
30.33, 34
32.08, 100
36.44, 23
48.11, 11
49.87, 26
55.00, 22
59.50, 30
60.55, 16



Entry 7:
Diffraction record for La3Nd5Sm3. The X-ray diffraction stick pattern is computed, not measured: it uses DFT lattice parameters and positions (GGA-PBE) and a wavelength of 1.5418 Å.
Kinematic intensities with the Lorentz-polarization factor, no thermal factor.

Atomic structure:
```
La3Nd5Sm3
1.0
9.7828 0.0000 0.0000
-4.8914 8.4722 0.0000
0.0000 0.0000 5.8353
La Nd Sm
3 5 3
Direct
0.0000 0.5438 0.0000
0.4562 0.4562 0.0000
0.5438 0.0000 0.0000
0.0000 0.2800 0.5000
0.2800 0.0000 0.5000
0.3333 0.6667 0.5000
0.6667 0.3333 0.5000
0.7200 0.7200 0.5000
0.0000 0.6325 0.5000
0.3675 0.3675 0.5000
0.6325 0.0000 0.5000
```

Principal peaks in the range 10° ≤ 2θ ≤ 80°, sorted by position:
2θ/deg, I (rel.)
10.44, 46
15.18, 72
25.99, 57
27.86, 59
30.64, 58
31.68, 55
35.31, 100
41.89, 40
44.66, 42
57.54, 31



Entry 8:
Diffraction record for LaNd2Sm8. The X-ray diffraction stick pattern is computed, not measured: it uses DFT lattice parameters and positions (GGA-PBE) and a wavelength of 1.5418 Å.
Kinematic intensities with the Lorentz-polarization factor, no thermal factor.

Atomic structure:
```
LaNd2Sm8
1.0
9.7215 -3.5689 0.0000
9.7215 3.5689 0.0000
-0.3356 0.0000 5.6823
La Nd Sm
1 2 8
Direct
0.0000 0.0000 0.0000
0.2843 0.2843 0.7450
0.7157 0.7157 0.2550
0.1362 0.6017 0.2679
0.1873 0.1873 0.2321
0.3983 0.8638 0.7321
0.4553 0.4553 0.7612
0.5447 0.5447 0.2388
0.6017 0.1362 0.2679
0.8127 0.8127 0.7679
0.8638 0.3983 0.7321
```

Principal peaks in the range 10° ≤ 2θ ≤ 80°, sorted by position:
2θ/deg, I (rel.)
30.71, 100
30.99, 77
31.11, 71
31.28, 96
31.49, 57
32.65, 43
45.19, 22
51.19, 20
54.70, 30
61.06, 21



Entry 9:
Diffraction record for La5NdSm3. The X-ray diffraction stick pattern is computed, not measured: it uses DFT lattice parameters and positions (GGA-PBE) and a wavelength of 1.5418 Å.
Kinematic intensities with the Lorentz-polarization factor, no thermal factor.

Atomic structure:
```
La5NdSm3
1.0
-4.4720 4.4720 8.0751
4.4720 -4.4720 8.0751
4.4720 4.4720 -8.0751
La Nd Sm
10 2 6
Direct
0.0000 0.0000 0.0000
0.0604 0.5604 0.8985
0.1619 0.0604 0.5000
0.3381 0.8381 0.8985
0.4396 0.3381 0.5000
0.5000 0.5000 0.0000
0.5604 0.6619 0.5000
0.6619 0.1619 0.1015
0.8381 0.9396 0.5000
0.9396 0.4396 0.1015
0.2500 0.7500 0.5000
0.7500 0.2500 0.5000
0.1190 0.3810 0.5000
0.2500 0.2500 0.0000
0.3810 0.8810 0.2620
0.6190 0.1190 0.7380
0.7500 0.7500 0.0000
0.8810 0.6190 0.5000
```

Principal peaks in the range 10° ≤ 2θ ≤ 80°, sorted by position:
2θ/deg, I (rel.)
27.79, 71
28.22, 47
29.81, 100
31.63, 20
35.73, 16
36.65, 19
44.90, 14
45.06, 14
50.96, 17
58.38, 17



Entry 10:
Diffraction record for La2TbNd6Sm. The X-ray diffraction stick pattern is computed, not measured: it uses DFT lattice parameters and positions (GGA-PBE) and a wavelength of 1.5418 Å.
Kinematic intensities with the Lorentz-polarization factor, no thermal factor.

Atomic structure:
```
La2TbNd6Sm
1.0
4.6150 -7.6598 0.0000
4.6150 7.6598 0.0000
-1.8179 0.0000 10.0068
La Tb Nd Sm
4 2 12 2
Direct
0.1917 0.2882 0.0408
0.2882 0.1917 0.5408
0.7118 0.8083 0.4592
0.8083 0.7118 0.9592
0.4050 0.5950 0.7500
0.5950 0.4050 0.2500
0.0185 0.5795 0.1889
0.1201 0.7397 0.5558
0.2603 0.8799 0.9442
0.2980 0.5023 0.3792
0.4205 0.9815 0.3111
0.4977 0.7020 0.1208
0.5023 0.2980 0.8792
0.5795 0.0185 0.6889
0.7020 0.4977 0.6208
0.7397 0.1201 0.0558
0.8799 0.2603 0.4442
0.9815 0.4205 0.8111
0.0120 0.9880 0.2500
0.9880 0.0120 0.7500
```

Principal peaks in the range 10° ≤ 2θ ≤ 80°, sorted by position:
2θ/deg, I (rel.)
27.97, 41
29.20, 46
29.84, 64
30.81, 100
31.14, 73
31.59, 16
32.09, 59
32.53, 22
48.67, 15
50.65, 15



Entry 11:
Diffraction record for La2TbNdSm2. The X-ray diffraction stick pattern is computed, not measured: it uses DFT lattice parameters and positions (GGA-PBE) and a wavelength of 1.5418 Å.
Kinematic intensities with the Lorentz-polarization factor, no thermal factor.

Atomic structure:
```
La2TbNdSm2
1.0
6.7437 0.0000 0.0000
0.0000 18.3045 0.0000
0.0000 0.0000 3.4622
La Tb Nd Sm
4 2 2 4
Direct
0.2273 0.1852 0.0000
0.2727 0.6852 0.5000
0.7273 0.3148 0.5000
0.7727 0.8148 0.0000
0.0000 0.0000 0.0000
0.5000 0.5000 0.5000
0.0000 0.5000 0.0000
0.5000 0.0000 0.5000
0.2244 0.3542 0.5000
0.2756 0.8542 0.0000
0.7244 0.1458 0.0000
0.7756 0.6458 0.5000
```

Principal peaks in the range 10° ≤ 2θ ≤ 80°, sorted by position:
2θ/deg, I (rel.)
26.20, 36
28.20, 100
29.27, 77
29.67, 77
30.63, 43
32.20, 34
33.00, 68
35.12, 42
40.15, 69
54.03, 27



Entry 12:
Diffraction record for La4Tb2Nd2Sm. The X-ray diffraction stick pattern is computed, not measured: it uses DFT lattice parameters and positions (GGA-PBE) and a wavelength of 1.5418 Å.
Kinematic intensities with the Lorentz-polarization factor, no thermal factor.

Atomic structure:
```
La4Tb2Nd2Sm
1.0
7.7938 -2.6051 0.0000
7.7938 2.6051 0.0000
-2.5849 0.0000 7.7803
La Tb Nd Sm
4 2 2 1
Direct
0.0544 0.0544 0.3335
0.2768 0.2768 0.6663
0.7232 0.7232 0.3337
0.9456 0.9456 0.6665
0.3889 0.3889 0.3311
0.6111 0.6111 0.6689
0.1667 0.1667 0.0005
0.8333 0.8333 0.9995
0.5000 0.5000 0.0000
```

Principal peaks in the range 10° ≤ 2θ ≤ 80°, sorted by position:
2θ/deg, I (rel.)
29.77, 100
34.47, 34
34.59, 17
49.59, 30
49.72, 6
58.82, 15
58.97, 22
59.06, 7
61.83, 12
72.58, 2